(1)
For PmDyY2N4, a PBE-relaxed structure gives the calculated PXRD pattern in this record (a wavelength of 1.5418 Å).

Peak list (10 most intense, 2θ = 10–90°, in order of rising 2θ)
2θ/deg	I_rel	(hkl)
15.4	10	1 0 0
29.8	7	0 1 1
31.2	100	2 0 0
36.2	79	1 1 1
52.1	54	2 0 2
62.0	44	3 1 1
65.0	18	4 0 0
76.7	8	2 2 2
85.1	19	4 0 2
87.9	24	4 2 0

Structure:
Cell lengths 6.083, 3.513, 6.084 Å; angles 90.00, 109.44, 90.00 degrees
Space group P2/m (No. 10)
Inequivalent atoms, fractional coordinates:
Pm 0.000 0.000 0.000 [1 per cell]
Dy 0.000 0.500 0.500 [1 per cell]
Y 0.500 0.000 0.500 [1 per cell]
Y 0.500 0.500 0.000 [1 per cell]
N 0.252 0.000 0.747 [2 per cell]
N 0.255 0.500 0.256 [2 per cell]

(2)
For PrDyN2, a PBE-relaxed structure gives the calculated PXRD pattern in this record (a wavelength of 1.5418 Å).

Peak list (10 most intense, 2θ = 10–90°, in order of rising 2θ)
2θ/deg	I_rel	(hkl)
29.5	40	0 2 0
33.1	100	0 1 2
42.2	23	1 2 1
52.3	14	1 0 3
54.6	24	0 3 2
61.2	18	0 4 0
61.4	8	2 2 0
63.5	10	2 1 2
84.7	7	1 4 3
86.5	11	0 5 2

Structure:
Cell lengths 3.485, 6.060, 6.060 Å; angles 90.00, 90.00, 90.00 degrees
Space group Pmmn (No. 59, origin choice 2)
Inequivalent atoms, fractional coordinates:
Pr 0.250 0.250 0.088 [2 per cell]
Dy 0.250 0.750 0.420 [2 per cell]
N 0.250 0.006 0.737 [4 per cell]

(3)
For Pr2Dy4N, a PBE-relaxed structure gives the calculated PXRD pattern in this record (a wavelength of 1.5418 Å).

Peak list (10 most intense, 2θ = 10–90°, in order of rising 2θ)
2θ/deg	I_rel	(hkl)
26.2	16	1 1 0
28.0	71	1 1 2
29.9	28	0 0 6
31.1	31	1 0 5
33.0	100	1 1 4
37.4	61	2 0 0
48.6	32	2 0 6
49.4	29	1 0 9
53.9	21	2 2 0
64.7	29	3 1 4

Structure:
Cell lengths 4.812, 4.812, 17.952 Å; angles 90.00, 90.00, 90.00 degrees
Space group I4/mmm (No. 139)
Inequivalent atoms, fractional coordinates:
Pr 0.000 0.000 0.174 [4 per cell]
Dy 0.000 0.000 0.370 [4 per cell]
Dy 0.000 0.500 0.000 [4 per cell]
N 0.000 0.000 0.500 [2 per cell]

(4)
For Pr3DyN, a PBE-relaxed structure gives the calculated PXRD pattern in this record (a wavelength of 1.5418 Å).

Peak list (9 most intense, 2θ = 10–90°, in order of rising 2θ)
2θ/deg	I_rel	(hkl)
24.3	1	1 1 0
29.8	100	1 1 1
34.6	56	2 0 0
49.7	40	2 2 0
59.0	44	3 1 1
61.9	14	2 2 2
72.9	6	4 0 0
80.7	18	3 3 1
83.3	18	4 2 0

Structure:
Cell lengths 5.189, 5.189, 5.189 Å; angles 90.00, 90.00, 90.00 degrees
Space group Pm-3m (No. 221)
Inequivalent atoms, fractional coordinates:
Pr 0.000 0.000 0.500 [3 per cell]
Dy 0.500 0.500 0.500 [1 per cell]
N 0.000 0.000 0.000 [1 per cell]